This entry pairs a crystal structure of PrHo2ErS4 with its computed X-ray diffraction stick pattern. Radiation: CuKα. Structure: a DFT-relaxed cell (GGA-PBE, Alexandria).
Kinematic intensities with the Lorentz-polarization factor, no thermal factor.

Largest 10 diffraction maxima, sorted by position, 2θ from 5° to 70°:
2θ (°)  I_rel
27.4  21
27.6  21
28.0  40
32.2  100
45.5  12
45.9  24
46.3  24
46.7  12
57.9  12
67.3  11

Cell lengths 6.8218, 3.8863, 6.8820 Å; angles 90.00, 108.81, 90.00 degrees
Space group P2/m (No. 10)
Asymmetric unit:
1 Pr 0.0000 0.0000 0.0000 [1 per cell]
2 Ho 0.5000 0.0000 0.5000 [1 per cell]
3 Ho 0.5000 0.5000 0.0000 [1 per cell]
4 Er 0.0000 0.5000 0.5000 [1 per cell]
5 S 0.2549 0.0000 0.7418 [2 per cell]
6 S 0.2627 0.5000 0.2643 [2 per cell]

***

This entry pairs a crystal structure of Cu2ReBr with its computed X-ray diffraction stick pattern. Radiation: CuKα. Structure: a DFT-relaxed cell (GGA-PBE, Alexandria).
Kinematic intensities with the Lorentz-polarization factor, no thermal factor.

Largest 10 diffraction maxima, sorted by position, 2θ from 5° to 70°:
2θ (°)  I_rel
20.0  33
21.3  23
38.2  13
39.0  100
40.7  89
43.5  37
47.7  56
52.8  9
66.5  40
67.5  11

Cell lengths 5.2422, 8.3249, 2.7760 Å; angles 90.00, 90.00, 90.00 degrees
Space group Cmmm (No. 65)
Asymmetric unit:
1 Cu 0.2500 0.2500 0.0000 [4 per cell]
2 Re 0.0000 0.0000 0.5000 [2 per cell]
3 Br 0.0000 0.5000 0.5000 [2 per cell]

***

This entry pairs a crystal structure of AcCeScAg with its computed X-ray diffraction stick pattern. Radiation: CuKα. Structure: a DFT-relaxed cell (GGA-PBE, Alexandria).
Kinematic intensities with the Lorentz-polarization factor, no thermal factor.

Largest 10 diffraction maxima, sorted by position, 2θ from 5° to 70°:
2θ (°)  I_rel
20.1  17
23.3  10
33.2  100
39.1  10
47.6  18
52.2  5
53.7  4
59.3  37
63.3  4
69.6  11

Cell lengths 7.6391, 7.6391, 7.6391 Å; angles 90.00, 90.00, 90.00 degrees
Space group F-43m (No. 216)
Asymmetric unit:
1 Ac 0.0000 0.0000 0.0000 [4 per cell]
2 Ce 0.2500 0.2500 0.7500 [4 per cell]
3 Sc 0.2500 0.2500 0.2500 [4 per cell]
4 Ag 0.0000 0.0000 0.5000 [4 per cell]

***

Copy entry 1 word for word.
This entry pairs a crystal structure of PrHo2ErS4 with its computed X-ray diffraction stick pattern. Radiation: CuKα. Structure: a DFT-relaxed cell (GGA-PBE, Alexandria).
Kinematic intensities with the Lorentz-polarization factor, no thermal factor.

Largest 10 diffraction maxima, sorted by position, 2θ from 5° to 70°:
2θ (°)  I_rel
27.4  21
27.6  21
28.0  40
32.2  100
45.5  12
45.9  24
46.3  24
46.7  12
57.9  12
67.3  11

Cell lengths 6.8218, 3.8863, 6.8820 Å; angles 90.00, 108.81, 90.00 degrees
Space group P2/m (No. 10)
Asymmetric unit:
1 Pr 0.0000 0.0000 0.0000 [1 per cell]
2 Ho 0.5000 0.0000 0.5000 [1 per cell]
3 Ho 0.5000 0.5000 0.0000 [1 per cell]
4 Er 0.0000 0.5000 0.5000 [1 per cell]
5 S 0.2549 0.0000 0.7418 [2 per cell]
6 S 0.2627 0.5000 0.2643 [2 per cell]